Record 1
This entry pairs a crystal structure of La4CoHg2 with its computed X-ray diffraction stick pattern. Radiation: Cu Kα (λ = 1.5418 Å). Structure: DFT lattice parameters and positions (PBE).
No peak broadening, texture or thermal motion is included.

Structural model:
```
data_La4CoHg2
_chemical_formula_sum 'La16 Co4 Hg8'
_cell_length_a 9.507
_cell_length_b 6.924
_cell_length_c 12.747
_cell_angle_alpha 90.00
_cell_angle_beta 90.00
_cell_angle_gamma 90.00
_space_group_name_H-M_alt 'P 1'
_space_group_IT_number 1
_space_group_name_Hall 'P 1'
loop_
_atom_site_label
_atom_site_fract_x
_atom_site_fract_y
_atom_site_fract_z
La1 0.094 0.250 0.077
La2 0.108 0.250 0.576
La3 0.246 0.004 0.333
La4 0.246 0.496 0.333
La5 0.254 0.504 0.833
La6 0.254 0.996 0.833
La7 0.392 0.750 0.076
La8 0.406 0.750 0.577
La9 0.594 0.250 0.423
La10 0.608 0.250 0.924
La11 0.746 0.004 0.167
La12 0.746 0.496 0.167
La13 0.754 0.504 0.667
La14 0.754 0.996 0.667
La15 0.892 0.750 0.424
La16 0.906 0.750 0.923
Co1 0.161 0.750 0.988
Co2 0.339 0.250 0.488
Co3 0.661 0.750 0.512
Co4 0.839 0.250 0.012
Hg1 0.039 0.750 0.174
Hg2 0.065 0.750 0.656
Hg3 0.435 0.250 0.156
Hg4 0.461 0.250 0.674
Hg5 0.539 0.750 0.326
Hg6 0.565 0.750 0.844
Hg7 0.935 0.250 0.344
Hg8 0.961 0.250 0.826
```

Top 12 peaks for 15 to 90 degrees two-theta, by angle:
| 2theta | d_spacing | Rel. int. |
| --- | --- | --- |
| 25.73 | 3.462 | 33.6 |
| 26.70 | 3.338 | 23.2 |
| 30.86 | 2.898 | 89.4 |
| 31.53 | 2.838 | 100.0 |
| 31.98 | 2.799 | 74.5 |
| 32.33 | 2.769 | 98.2 |
| 42.61 | 2.122 | 23.7 |
| 48.76 | 1.868 | 31.4 |
| 49.70 | 1.835 | 33.6 |
| 52.89 | 1.731 | 22.4 |
| 57.13 | 1.612 | 22.0 |
| 62.91 | 1.477 | 43.9 |

---

Record 2
This entry pairs a crystal structure of La8Co2Hg with its computed X-ray diffraction stick pattern. Radiation: Cu Kα (λ = 1.5418 Å). Structure: DFT lattice parameters and positions (PBE).
No peak broadening, texture or thermal motion is included.

Structural model:
```
data_La8Co2Hg
_chemical_formula_sum 'La8 Co2 Hg1'
_cell_length_a 8.203
_cell_length_b 8.203
_cell_length_c 5.810
_cell_angle_alpha 97.89
_cell_angle_beta 97.89
_cell_angle_gamma 117.44
_space_group_name_H-M_alt 'P 1'
_space_group_IT_number 1
_space_group_name_Hall 'P 1'
loop_
_atom_site_label
_atom_site_fract_x
_atom_site_fract_y
_atom_site_fract_z
La1 0.000 0.000 0.000
La2 0.202 0.202 0.613
La3 0.259 0.514 0.251
La4 0.360 0.844 0.807
La5 0.514 0.259 0.251
La6 0.689 0.945 0.364
La7 0.844 0.360 0.807
La8 0.945 0.689 0.364
Co1 0.324 0.879 0.307
Co2 0.879 0.324 0.307
Hg1 0.601 0.601 0.808
```

Top 12 peaks for 15 to 90 degrees two-theta, by angle:
| 2theta | d_spacing | Rel. int. |
| --- | --- | --- |
| 23.22 | 3.831 | 25.9 |
| 25.36 | 3.512 | 30.7 |
| 30.07 | 2.972 | 97.5 |
| 30.18 | 2.961 | 68.8 |
| 31.55 | 2.836 | 53.4 |
| 31.94 | 2.802 | 28.3 |
| 33.01 | 2.713 | 55.0 |
| 33.61 | 2.666 | 100.0 |
| 36.19 | 2.482 | 24.8 |
| 44.13 | 2.052 | 27.8 |
| 51.18 | 1.785 | 33.1 |
| 61.48 | 1.508 | 20.5 |

---

Record 3
This entry pairs a crystal structure of La2PrCoHg with its computed X-ray diffraction stick pattern. Radiation: Cu Kα (λ = 1.5418 Å). Structure: DFT lattice parameters and positions (PBE).
No peak broadening, texture or thermal motion is included.

Structural model:
```
data_La2PrCoHg
_chemical_formula_sum 'La2 Pr1 Co1 Hg1'
_cell_length_a 5.218
_cell_length_b 5.218
_cell_length_c 5.532
_cell_angle_alpha 90.00
_cell_angle_beta 90.00
_cell_angle_gamma 90.00
_space_group_name_H-M_alt 'P 1'
_space_group_IT_number 1
_space_group_name_Hall 'P 1'
loop_
_atom_site_label
_atom_site_fract_x
_atom_site_fract_y
_atom_site_fract_z
La1 0.000 0.500 0.000
La2 0.500 0.000 0.000
Pr1 0.000 0.000 0.500
Co1 0.000 0.000 0.000
Hg1 0.500 0.500 0.501
```

Top 12 peaks for 15 to 90 degrees two-theta, by angle:
| 2theta | d_spacing | Rel. int. |
| --- | --- | --- |
| 23.44 | 3.796 | 8.0 |
| 29.09 | 3.070 | 100.0 |
| 32.37 | 2.766 | 28.5 |
| 34.37 | 2.609 | 48.6 |
| 47.93 | 1.898 | 38.1 |
| 49.40 | 1.845 | 17.4 |
| 55.72 | 1.650 | 17.4 |
| 58.36 | 1.581 | 28.7 |
| 60.30 | 1.535 | 19.1 |
| 77.65 | 1.230 | 12.8 |
| 78.23 | 1.222 | 9.0 |
| 81.60 | 1.180 | 8.1 |

---

Record 4
This entry pairs a crystal structure of La2Pr2CoHg2 with its computed X-ray diffraction stick pattern. Radiation: Cu Kα (λ = 1.5418 Å). Structure: DFT lattice parameters and positions (PBE).
No peak broadening, texture or thermal motion is included.

Structural model:
```
data_La2Pr2CoHg2
_chemical_formula_sum 'La2 Pr2 Co1 Hg2'
_cell_length_a 7.792
_cell_length_b 7.792
_cell_length_c 7.792
_cell_angle_alpha 144.46
_cell_angle_beta 128.80
_cell_angle_gamma 63.88
_space_group_name_H-M_alt 'P 1'
_space_group_IT_number 1
_space_group_name_Hall 'P 1'
loop_
_atom_site_label
_atom_site_fract_x
_atom_site_fract_y
_atom_site_fract_z
La1 0.195 0.195 0.000
La2 0.805 0.805 0.000
Pr1 0.257 0.500 0.757
Pr2 0.743 0.500 0.243
Co1 0.000 0.000 0.000
Hg1 0.371 0.871 0.500
Hg2 0.629 0.129 0.500
```

Top 12 peaks for 15 to 90 degrees two-theta, by angle:
| 2theta | d_spacing | Rel. int. |
| --- | --- | --- |
| 26.47 | 3.367 | 18.1 |
| 27.59 | 3.233 | 91.7 |
| 29.78 | 3.000 | 26.6 |
| 33.30 | 2.690 | 100.0 |
| 35.66 | 2.518 | 44.9 |
| 36.50 | 2.462 | 24.8 |
| 37.84 | 2.378 | 36.1 |
| 38.15 | 2.359 | 22.0 |
| 53.57 | 1.711 | 26.0 |
| 54.82 | 1.675 | 15.7 |
| 62.19 | 1.493 | 28.6 |
| 65.46 | 1.426 | 14.1 |

---

Record 5
This entry pairs a crystal structure of LiCo2Hg with its computed X-ray diffraction stick pattern. Radiation: Cu Kα (λ = 1.5418 Å). Structure: DFT lattice parameters and positions (PBE).
No peak broadening, texture or thermal motion is included.

Structural model:
```
data_LiCo2Hg
_chemical_formula_sum 'Li1 Co2 Hg1'
_cell_length_a 5.011
_cell_length_b 5.011
_cell_length_c 5.011
_cell_angle_alpha 142.24
_cell_angle_beta 134.44
_cell_angle_gamma 60.61
_space_group_name_H-M_alt 'P 1'
_space_group_IT_number 1
_space_group_name_Hall 'P 1'
loop_
_atom_site_label
_atom_site_fract_x
_atom_site_fract_y
_atom_site_fract_z
Li1 0.000 0.000 0.000
Co1 0.246 0.746 0.500
Co2 0.754 0.254 0.500
Hg1 0.500 0.500 0.000
```

Top 12 peaks for 15 to 90 degrees two-theta, by angle:
| 2theta | d_spacing | Rel. int. |
| --- | --- | --- |
| 25.15 | 3.541 | 55.3 |
| 29.41 | 3.037 | 40.1 |
| 38.91 | 2.315 | 20.4 |
| 41.76 | 2.163 | 21.6 |
| 41.88 | 2.157 | 100.0 |
| 46.82 | 1.940 | 15.5 |
| 56.28 | 1.635 | 16.1 |
| 56.77 | 1.622 | 8.6 |
| 63.05 | 1.474 | 9.0 |
| 64.52 | 1.444 | 11.6 |
| 76.32 | 1.248 | 14.2 |
| 83.51 | 1.158 | 11.9 |

---

Record 6
This entry pairs a crystal structure of SrMg2CoHg with its computed X-ray diffraction stick pattern. Radiation: Cu Kα (λ = 1.5418 Å). Structure: DFT lattice parameters and positions (PBE).
No peak broadening, texture or thermal motion is included.

Structural model:
```
data_SrMg2CoHg
_chemical_formula_sum 'Sr1 Mg2 Co1 Hg1'
_cell_length_a 4.881
_cell_length_b 4.881
_cell_length_c 5.166
_cell_angle_alpha 90.00
_cell_angle_beta 90.00
_cell_angle_gamma 90.00
_space_group_name_H-M_alt 'P 1'
_space_group_IT_number 1
_space_group_name_Hall 'P 1'
loop_
_atom_site_label
_atom_site_fract_x
_atom_site_fract_y
_atom_site_fract_z
Sr1 0.000 0.000 0.000
Mg1 0.000 0.500 0.500
Mg2 0.500 0.000 0.500
Co1 0.500 0.500 0.500
Hg1 0.500 0.500 0.000
```

Top 12 peaks for 15 to 90 degrees two-theta, by angle:
| 2theta | d_spacing | Rel. int. |
| --- | --- | --- |
| 17.16 | 5.166 | 38.6 |
| 18.17 | 4.881 | 71.2 |
| 25.81 | 3.451 | 93.1 |
| 31.16 | 2.870 | 100.0 |
| 34.73 | 2.583 | 39.5 |
| 36.83 | 2.441 | 67.3 |
| 43.77 | 2.068 | 46.0 |
| 51.52 | 1.774 | 50.9 |
| 53.07 | 1.726 | 23.3 |
| 62.83 | 1.479 | 27.7 |
| 64.99 | 1.435 | 25.1 |
| 71.16 | 1.325 | 21.9 |